# 1
Starting from a crystal structure in Alexandria, relaxed with GGA-PBE, the XRD peak list of AgHg was simulated for Cu Kα.

Peak list (12 most intense, 2θ from 15° to 90°, in order of falling intensity)
hkl 1 0 2, 37.98°, rel. 100.0; hkl 0 0 4, 37.38°, rel. 25.9; hkl 1 1 0, 58.76°, rel. 24.3; hkl 1 0 0, 32.91°, rel. 23.0; hkl 1 1 4, 71.75°, rel. 22.8; hkl 1 0 1, 34.24°, rel. 19.1; hkl 1 0 6, 67.82°, rel. 18.3; hkl 2 0 2, 72.14°, rel. 15.4; hkl 1 0 4, 50.64°, rel. 14.4; hkl 0 0 2, 18.44°, rel. 10.7; hkl 1 0 3, 43.61°, rel. 9.5; hkl 2 0 4, 81.22°, rel. 3.9

Crystal structure
a b c (Å): 3.1425 3.1425 9.6233
angles (deg): 90.00 90.00 120.00
Space group P6_3/mmc (No. 194)
One atom of each set of equivalent atoms:
Ag 0.3333 0.6667 0.2500 x2
Hg 0.0000 0.0000 0.0000 x2



# 2
Starting from a crystal structure in Alexandria, relaxed with GGA-PBE, the XRD peak list of MnPb2Br6 was simulated for Cu Kα.

Peak list (12 most intense, 2θ from 15° to 90°, in order of falling intensity)
hkl 1 1 0, 18.13°, rel. 100.0; hkl 2 1 3, 35.52°, rel. 94.8; hkl 3 0 3, 44.39°, rel. 53.7; hkl 1 1 3, 27.32°, rel. 51.0; hkl 2 2 0, 36.74°, rel. 37.9; hkl 1 0 3, 24.04°, rel. 36.6; hkl 3 3 0, 56.39°, rel. 31.8; hkl 0 0 6, 41.22°, rel. 28.8; hkl 5 2 3, 77.38°, rel. 26.4; hkl 1 1 6, 45.34°, rel. 20.2; hkl 2 1 0, 28.86°, rel. 19.0; hkl 5 1 0, 69.23°, rel. 14.4

Crystal structure
a b c (Å): 6.9182 6.9182 13.1488
angles (deg): 90.00 90.00 90.00
Space group P4_2/mnm (No. 136)
One atom of each set of equivalent atoms:
Mn 0.0000 0.0000 0.0000 x2
Pb 0.0000 0.0000 0.3347 x4
Br 0.1870 0.1870 0.1492 x8
Br 0.2190 0.2190 0.5000 x4



# 3
Starting from a crystal structure in Alexandria, relaxed with GGA-PBE, the XRD peak list of Tb6Tl3Tc was simulated for Cu Kα.

Peak list (12 most intense, 2θ from 15° to 90°, in order of falling intensity)
hkl 2 2 1, 33.50°, rel. 100.0; hkl 2 2 -1, 30.89°, rel. 86.5; hkl 2 0 2, 31.89°, rel. 72.2; hkl 2 2 -2, 36.57°, rel. 54.8; hkl 4 0 -1, 31.43°, rel. 48.6; hkl 3 1 -1, 27.30°, rel. 47.1; hkl 1 1 -3, 38.39°, rel. 45.6; hkl 0 2 1, 27.97°, rel. 41.8; hkl 4 0 0, 31.59°, rel. 34.9; hkl 0 4 0, 51.52°, rel. 29.3; hkl 6 2 0, 55.16°, rel. 28.9; hkl 1 1 1, 20.17°, rel. 21.6

Crystal structure
a b c (Å): 11.5737 7.0958 7.4530
angles (deg): 90.00 102.14 90.00
Space group C2/m (No. 12)
One atom of each set of equivalent atoms:
Tb 0.1130 0.2433 0.3466 x8
Tb 0.1602 0.5000 0.8477 x4
Tl 0.0000 0.0000 0.0000 x2
Tl 0.1717 0.0000 0.7343 x4
Tc 0.0000 0.5000 0.5000 x2



# 4
Starting from a crystal structure in Alexandria, relaxed with GGA-PBE, the XRD peak list of MnTl2 was simulated for Cu Kα.

Peak list (12 most intense, 2θ from 15° to 90°, in order of falling intensity)
hkl 1 0 1, 32.40°, rel. 100.0; hkl 1 1 0, 37.29°, rel. 57.5; hkl 0 2 1, 50.22°, rel. 29.8; hkl 2 1 1, 64.19°, rel. 28.7; hkl 1 0 0, 21.28°, rel. 22.7; hkl 0 1 2, 54.43°, rel. 14.2; hkl 1 3 1, 88.48°, rel. 12.5; hkl 1 1 2, 63.55°, rel. 11.9; hkl 3 0 0, 67.26°, rel. 10.3; hkl 1 2 2, 80.05°, rel. 9.3; hkl 2 0 2, 67.83°, rel. 7.3; hkl 2 2 0, 79.50°, rel. 6.5

Crystal structure
a b c (Å): 4.8223 4.8223 3.6851
angles (deg): 90.00 90.00 120.00
Space group P-3m1 (No. 164)
One atom of each set of equivalent atoms:
Mn 0.0000 0.0000 0.0000 x1
Tl 0.3333 0.6667 0.7172 x2